1.
The following is a calculated powder diffractogram of NaMn2FeAgP3O12. It was derived from a structure optimized by DFT (GGA+U), using Cu Kα (weighted mean of Kα1 and Kα2).
No peak broadening, texture or thermal motion is included.

Cell: 12.8733 10.9956 9.9047 Å, 90.00 119.81 90.00°
Space group C2 (No. 5)
Inequivalent atoms, fractional coordinates:
1 Na 0.1464 0.0000 0.1615 x4
2 Mn 0.0000 0.2874 0.5000 x2
3 Mn 0.0000 0.7918 0.0000 x2
4 Mn 0.1218 0.7881 0.8417 x4
5 Fe 0.1437 0.3900 0.3441 x4
6 Ag 0.0000 0.5305 0.0000 x2
7 Ag 0.0000 0.5705 0.5000 x2
8 P 0.0000 0.2628 0.0000 x2
9 P 0.0000 0.9306 0.5000 x2
10 P 0.1911 0.1512 0.9402 x4
11 P 0.1971 0.0833 0.5075 x4
12 O 0.0092 0.4126 0.3516 x4
13 O 0.0164 0.6820 0.8628 x4
14 O 0.0449 0.1764 0.9125 x4
15 O 0.0496 0.9093 0.9024 x4
16 O 0.0605 0.0243 0.4348 x4
17 O 0.0955 0.8563 0.6319 x4
18 O 0.1022 0.3399 0.1271 x4
19 O 0.1673 0.2215 0.4845 x4
20 O 0.2279 0.2679 0.8886 x4
21 O 0.2298 0.5374 0.3238 x4
22 O 0.2377 0.6488 0.8752 x4
23 O 0.2480 0.5275 0.5827 x4

The 12 most intense peaks (5 to 70 degrees two-theta), in order of rising 2θ:
- 2θ 11.3, rel. 52.9
- 2θ 15.9, rel. 67.6
- 2θ 17.8, rel. 78.7
- 2θ 19.2, rel. 55.9
- 2θ 20.7, rel. 100.0
- 2θ 23.9, rel. 46.8
- 2θ 25.3, rel. 42.9
- 2θ 28.2, rel. 72.6
- 2θ 29.1, rel. 37.9
- 2θ 30.4, rel. 49.8
- 2θ 32.0, rel. 58.2
- 2θ 34.3, rel. 41.5

2.
The following is a calculated powder diffractogram of V3P4O16. It was derived from a structure optimized by DFT (GGA+U), using Cu Kα (weighted mean of Kα1 and Kα2).
No peak broadening, texture or thermal motion is included.

Cell: 8.3114 5.1101 15.6138 Å, 90.00 114.26 90.00°
Space group P2_1/c (No. 14)
Inequivalent atoms, fractional coordinates:
1 V 0.0000 0.0000 0.0000 x2
2 V 0.3194 0.1132 0.3030 x4
3 P 0.0268 0.5006 0.1441 x4
4 P 0.4268 0.0846 0.1201 x4
5 O 0.0291 0.7083 0.9340 x4
6 O 0.0607 0.7300 0.6123 x4
7 O 0.1322 0.0177 0.3258 x4
8 O 0.1899 0.0853 0.7310 x4
9 O 0.2477 0.0997 0.0369 x4
10 O 0.4056 0.0503 0.2147 x4
11 O 0.4585 0.6788 0.8749 x4
12 O 0.4788 0.1705 0.8911 x4

The 12 most intense peaks (5 to 70 degrees two-theta), in order of rising 2θ:
- 2θ 12.4, rel. 30.7
- 2θ 13.1, rel. 44.7
- 2θ 21.0, rel. 48.1
- 2θ 21.6, rel. 38.9
- 2θ 22.8, rel. 55.5
- 2θ 23.2, rel. 72.2
- 2θ 23.5, rel. 46.6
- 2θ 24.7, rel. 79.9
- 2θ 25.6, rel. 100.0
- 2θ 26.4, rel. 69.3
- 2θ 31.4, rel. 34.3
- 2θ 32.0, rel. 37.5

3.
The following is a calculated powder diffractogram of SrFeBP2H2O10. It was derived from a structure optimized by DFT (GGA+U), using Cu Kα (weighted mean of Kα1 and Kα2).
No peak broadening, texture or thermal motion is included.

Cell: 6.6805 6.7399 9.3929 Å, 109.84 101.89 103.60°
Space group P-1 (No. 2)
Inequivalent atoms, fractional coordinates:
1 Sr 0.1547 0.3885 0.2656 x2
2 Fe 0.0000 0.0000 0.5000 x1
3 Fe 0.5000 0.0000 0.0000 x1
4 B 0.4710 0.2255 0.7534 x2
5 P 0.1429 0.8749 0.1671 x2
6 P 0.2918 0.5353 0.6762 x2
7 H 0.2946 0.2483 0.9170 x2
8 H 0.3437 0.8927 0.5887 x2
9 O 0.0596 0.2951 0.9633 x2
10 O 0.0720 0.3391 0.5908 x2
11 O 0.0810 0.0220 0.3077 x2
12 O 0.2629 0.7174 0.8166 x2
13 O 0.2818 0.0404 0.1142 x2
14 O 0.2991 0.7608 0.2352 x2
15 O 0.3193 0.0392 0.6045 x2
16 O 0.3689 0.6312 0.5641 x2
17 O 0.4239 0.2071 0.8958 x2
18 O 0.4664 0.4419 0.7476 x2

The 12 most intense peaks (5 to 70 degrees two-theta), in order of rising 2θ:
- 2θ 20.3, rel. 100.0
- 2θ 20.8, rel. 40.9
- 2θ 21.2, rel. 34.8
- 2θ 27.3, rel. 77.7
- 2θ 27.5, rel. 64.9
- 2θ 27.6, rel. 35.2
- 2θ 27.8, rel. 43.8
- 2θ 29.2, rel. 45.9
- 2θ 30.3, rel. 59.1
- 2θ 30.6, rel. 94.1
- 2θ 33.8, rel. 36.1
- 2θ 33.9, rel. 36.7

4.
The following is a calculated powder diffractogram of CrAuO2. It was derived from a structure optimized by DFT (GGA+U), using Cu Kα (weighted mean of Kα1 and Kα2).
No peak broadening, texture or thermal motion is included.

Cell: 3.0744 3.0744 18.5455 Å, 90.00 90.00 120.00°
Space group R-3m (No. 166, hexagonal axes)
Inequivalent atoms, fractional coordinates:
1 Cr 0.0000 0.0000 0.0000 x3
2 Au 0.0000 0.0000 0.5000 x3
3 O 0.0000 0.0000 0.3868 x6

The 12 most intense peaks (5 to 70 degrees two-theta), in order of rising 2θ:
- 2θ 14.3, rel. 59.4
- 2θ 28.9, rel. 47.1
- 2θ 34.0, rel. 47.1
- 2θ 35.1, rel. 100.0
- 2θ 39.0, rel. 55.3
- 2θ 41.8, rel. 12.9
- 2θ 48.5, rel. 14.7
- 2θ 52.3, rel. 36.3
- 2θ 60.2, rel. 24.2
- 2θ 60.9, rel. 21.9
- 2θ 62.2, rel. 10.9
- 2θ 68.1, rel. 25.0

5.
The following is a calculated powder diffractogram of Lu2WO6. It was derived from a structure optimized by DFT (GGA+U), using Cu Kα (weighted mean of Kα1 and Kα2).
No peak broadening, texture or thermal motion is included.

Cell: 5.1928 9.0034 9.8555 Å, 90.00 90.00 90.00°
Space group P2_12_12_1 (No. 19)
Inequivalent atoms, fractional coordinates:
1 Lu 0.0189 0.1027 0.4655 x4
2 Lu 0.0385 0.2195 0.8723 x4
3 W 0.0388 0.4944 0.3473 x4
4 O 0.0903 0.8402 0.0296 x4
5 O 0.1750 0.6402 0.8186 x4
6 O 0.1795 0.9530 0.3018 x4
7 O 0.1958 0.6427 0.2339 x4
8 O 0.2359 0.1159 0.0667 x4
9 O 0.2498 0.4096 0.9962 x4

The 12 most intense peaks (5 to 70 degrees two-theta), in order of rising 2θ:
- 2θ 26.2, rel. 35.8
- 2θ 26.8, rel. 69.0
- 2θ 27.7, rel. 100.0
- 2θ 28.9, rel. 22.0
- 2θ 31.2, rel. 29.7
- 2θ 33.8, rel. 67.5
- 2θ 34.5, rel. 35.4
- 2θ 35.0, rel. 25.5
- 2θ 38.1, rel. 20.9
- 2θ 47.2, rel. 30.7
- 2θ 50.0, rel. 20.5
- 2θ 54.8, rel. 30.9

6.
The following is a calculated powder diffractogram of Mn3Zn2O8. It was derived from a structure optimized by DFT (GGA+U), using Cu Kα (weighted mean of Kα1 and Kα2).
No peak broadening, texture or thermal motion is included.

Cell: 5.8598 5.8598 9.3842 Å, 90.00 90.00 120.00°
Space group P6_3mc (No. 186)
Inequivalent atoms, fractional coordinates:
1 Mn 0.1641 0.3281 0.0000 x6
2 Zn 0.3333 0.6667 0.2882 x2
3 Zn 0.3333 0.6667 0.6702 x2
4 O 0.0000 0.0000 0.1047 x2
5 O 0.0371 0.5186 0.1191 x6
6 O 0.1592 0.3184 0.3987 x6
7 O 0.3333 0.6667 0.8917 x2

The 12 most intense peaks (5 to 70 degrees two-theta), in order of rising 2θ:
- 2θ 18.9, rel. 35.5
- 2θ 25.9, rel. 72.9
- 2θ 30.5, rel. 23.9
- 2θ 33.7, rel. 100.0
- 2θ 35.4, rel. 31.4
- 2θ 36.1, rel. 95.5
- 2θ 36.7, rel. 78.8
- 2θ 46.1, rel. 22.2
- 2θ 56.3, rel. 56.4
- 2θ 58.0, rel. 22.6
- 2θ 61.4, rel. 64.1
- 2θ 63.5, rel. 55.3

7.
The following is a calculated powder diffractogram of FeOF. It was derived from a structure optimized by DFT (GGA+U), using Cu Kα (weighted mean of Kα1 and Kα2).
No peak broadening, texture or thermal motion is included.

Cell: 14.1332 3.0886 14.1355 Å, 90.00 90.10 90.00°
Space group Pm (No. 6)
Inequivalent atoms, fractional coordinates:
1 Fe 0.0000 0.0000 0.0000 x1
2 Fe 0.0020 0.0000 0.6703 x1
3 Fe 0.0281 0.0000 0.3474 x1
4 Fe 0.1768 0.5000 0.1864 x1
5 Fe 0.1840 0.5000 0.4980 x1
6 Fe 0.1910 0.5000 0.8377 x1
7 Fe 0.3353 0.0000 0.3398 x1
8 Fe 0.3436 0.0000 0.9958 x1
9 Fe 0.3481 0.0000 0.6854 x1
10 Fe 0.4994 0.5000 0.8412 x1
11 Fe 0.5269 0.5000 0.1718 x1
12 Fe 0.5309 0.5000 0.5126 x1
13 Fe 0.6680 0.0000 0.3413 x1
14 Fe 0.6747 0.0000 0.0092 x1
15 Fe 0.6896 0.0000 0.6733 x1
16 Fe 0.8465 0.5000 0.5196 x1
17 Fe 0.8543 0.5000 0.8295 x1
18 Fe 0.8592 0.5000 0.1687 x1
19 O 0.0769 0.5000 0.4119 x1
20 O 0.1100 0.0000 0.2371 x1
21 O 0.2423 0.0000 0.7729 x1
22 O 0.2483 0.0000 0.4458 x1
23 O 0.2782 0.5000 0.9452 x1
24 O 0.2840 0.5000 0.2733 x1
25 O 0.4142 0.5000 0.7352 x1
26 O 0.4519 0.0000 0.9113 x1
27 O 0.5782 0.0000 0.1042 x1
28 O 0.5804 0.0000 0.4448 x1
29 O 0.6163 0.5000 0.6172 x1
30 O 0.6189 0.5000 0.2736 x1
31 O 0.7453 0.5000 0.7432 x1
32 O 0.7834 0.0000 0.5695 x1
33 O 0.9150 0.0000 0.1115 x1
34 O 0.9150 0.0000 0.7752 x1
35 O 0.9440 0.5000 0.9412 x1
36 O 0.9539 0.5000 0.6041 x1
37 F 0.0788 0.5000 0.7405 x1
38 F 0.0815 0.5000 0.0688 x1
39 F 0.1122 0.0000 0.9047 x1
40 F 0.1201 0.0000 0.5793 x1
41 F 0.2445 0.0000 0.1093 x1
42 F 0.2810 0.5000 0.6092 x1
43 F 0.4086 0.5000 0.0795 x1
44 F 0.4139 0.5000 0.4041 x1
45 F 0.4426 0.0000 0.5687 x1
46 F 0.4510 0.0000 0.2395 x1
47 F 0.5782 0.0000 0.7824 x1
48 F 0.6185 0.5000 0.9358 x1
49 F 0.7465 0.5000 0.0754 x1
50 F 0.7510 0.5000 0.4007 x1
51 F 0.7786 0.0000 0.9131 x1
52 F 0.7860 0.0000 0.2377 x1
53 F 0.9112 0.0000 0.4366 x1
54 F 0.9446 0.5000 0.2813 x1

The 12 most intense peaks (5 to 70 degrees two-theta), in order of rising 2θ:
- 2θ 26.8, rel. 100.0
- 2θ 34.7, rel. 55.7
- 2θ 38.2, rel. 7.8
- 2θ 39.8, rel. 17.2
- 2θ 40.9, rel. 4.0
- 2θ 42.9, rel. 7.3
- 2θ 52.6, rel. 58.9
- 2θ 55.1, rel. 8.1
- 2θ 55.2, rel. 8.0
- 2θ 59.9, rel. 9.8
- 2θ 62.3, rel. 7.6
- 2θ 66.8, rel. 31.8

8.
The following is a calculated powder diffractogram of Mn6O5F7. It was derived from a structure optimized by DFT (GGA+U), using Cu Kα (weighted mean of Kα1 and Kα2).
No peak broadening, texture or thermal motion is included.

Cell: 4.7733 5.6850 7.9200 Å, 86.33 89.59 88.93°
Space group P1 (No. 1)
Inequivalent atoms, fractional coordinates:
1 Mn 0.0000 0.0000 0.0000 x1
2 Mn 0.0017 0.3203 0.6887 x1
3 Mn 0.0039 0.6723 0.3346 x1
4 Mn 0.4609 0.8374 0.6624 x1
5 Mn 0.5266 0.1463 0.3281 x1
6 Mn 0.5510 0.4904 0.0150 x1
7 O 0.1814 0.0366 0.7769 x1
8 O 0.3107 0.8727 0.4280 x1
9 O 0.7026 0.4458 0.2418 x1
10 O 0.8143 0.2922 0.9111 x1
11 O 0.8175 0.9420 0.2186 x1
12 F 0.2013 0.3731 0.4499 x1
13 F 0.2220 0.6977 0.0856 x1
14 F 0.3054 0.1987 0.1106 x1
15 F 0.3277 0.5188 0.7871 x1
16 F 0.6917 0.8006 0.8864 x1
17 F 0.7032 0.1282 0.5649 x1
18 F 0.8097 0.6172 0.5879 x1

The 12 most intense peaks (5 to 70 degrees two-theta), in order of rising 2θ:
- 2θ 26.2, rel. 100.0
- 2θ 26.7, rel. 97.3
- 2θ 34.0, rel. 53.0
- 2θ 34.2, rel. 44.5
- 2θ 39.0, rel. 17.2
- 2θ 51.4, rel. 32.3
- 2θ 51.9, rel. 27.6
- 2θ 53.9, rel. 16.8
- 2θ 55.0, rel. 17.1
- 2θ 58.6, rel. 17.7
- 2θ 65.3, rel. 17.1
- 2θ 65.8, rel. 16.2